For RbTlO3, a DFT-relaxed cell (PBE, the Materials Project) gives the calculated PXRD pattern in this record (Cu Kα (weighted mean of Kα1 and Kα2)).
No peak broadening, texture or thermal motion is included.

Peak list (10 most intense, 2θ = 5–70°, low angle first)
2theta	intensity
19.88	27.1
28.26	100.0
34.80	2.1
40.40	29.8
45.41	13.0
50.03	42.7
58.45	19.4
62.38	6.3
66.17	18.9
69.86	1.4

Structural model:
Cell lengths 4.466, 4.466, 4.466 Å; angles 90.00, 90.00, 90.00 degrees
Space group Pm-3m (No. 221)
Asymmetric unit:
Rb  0.000  0.000  0.000 [1 per cell]
Tl  0.500  0.500  0.500 [1 per cell]
O  0.000  0.500  0.500 [3 per cell]